[1]
Structure and simulated powder diffraction line list of FeSiO3 (a GGA+U-relaxed structure; Cu Ka).
Peak positions follow from Bragg's law for the DFT cell and can differ from measured ones.

Main lines, in order of rising 2θ (2θ = 10–90°):
2θ 27.2, I = 40, (2 2 0)
2θ 28.9, I = 100, (1 2 1)
2θ 30.3, I = 57, (3 1 0)
2θ 33.9, I = 61, (0 3 1)
2θ 35.6, I = 54, (2 0 -2)
2θ 41.1, I = 61, (2 3 1)

Structure:
Lattice parameters (Å, degrees): 9.587 9.227 5.315 90.00 103.08 90.00
Space group P2_1/c (No. 14)
Unique sites:
Fe 0.248 0.012 0.474 (multiplicity 4)
Fe 0.248 0.654 0.478 (multiplicity 4)
Si 0.053 0.166 0.809 (multiplicity 4)
Si 0.454 0.162 0.243 (multiplicity 4)
O 0.103 0.204 0.126 (multiplicity 4)
O 0.123 0.662 0.768 (multiplicity 4)
O 0.136 0.021 0.752 (multiplicity 4)
O 0.371 0.662 0.192 (multiplicity 4)
O 0.376 0.005 0.210 (multiplicity 4)
O 0.394 0.232 0.490 (multiplicity 4)


[2]
Structure and simulated powder diffraction line list of Fe7Si8O24 (a GGA+U-relaxed structure; Cu Ka).
Peak positions follow from Bragg's law for the DFT cell and can differ from measured ones.

Main lines, in order of rising 2θ (2θ = 10–90°):
2θ 10.5, I = 100, (1 1 0)
2θ 28.6, I = 42, (3 1 0)
2θ 32.2, I = 42, (1 5 1)
2θ 33.8, I = 37, (0 6 1)
2θ 35.3, I = 31, (2 0 -2)
2θ 40.8, I = 25, (2 6 1)

Structure:
Lattice parameters (Å, degrees): 9.739 18.461 5.369 90.00 102.69 90.00
Space group C2/m (No. 12)
Unique sites:
Fe 0.000 0.000 0.000 (multiplicity 2)
Fe 0.000 0.080 0.500 (multiplicity 4)
Fe 0.000 0.179 0.000 (multiplicity 4)
Fe 0.000 0.258 0.500 (multiplicity 4)
Si 0.203 0.333 0.222 (multiplicity 8)
Si 0.210 0.417 0.727 (multiplicity 8)
O 0.099 0.000 0.722 (multiplicity 4)
O 0.117 0.086 0.206 (multiplicity 8)
O 0.119 0.257 0.234 (multiplicity 8)
O 0.124 0.171 0.709 (multiplicity 8)
O 0.150 0.368 0.935 (multiplicity 8)
O 0.150 0.382 0.444 (multiplicity 8)
O 0.154 0.500 0.727 (multiplicity 4)